Entry 1:
Diffraction record for Pm3Sm6Tm2. The powder XRD pattern is simulated, not measured: it uses a structure optimized by DFT (PBE) and Cu Kα (λ = 1.5418 Å).
No peak broadening, texture or thermal motion is included.

Largest 10 diffraction maxima, in order of rising 2θ, 10 to 90 degrees two-theta:
| two_theta | I (rel.) | hkl |
| --- | --- | --- |
| 30.33 | 23 | 0 4 1 |
| 30.78 | 40 | 1 1 3 |
| 30.92 | 43 | 2 0 0 |
| 31.76 | 100 | 1 3 2 |
| 43.87 | 20 | 2 4 -1 |
| 52.89 | 13 | 0 4 5 |
| 54.93 | 15 | 2 6 0 |
| 55.50 | 13 | 3 3 -2 |
| 61.25 | 18 | 1 7 3 |
| 62.54 | 15 | 2 4 5 |

Unit cell a=5.784 b=12.282 c=10.479 alpha=90.00 beta=90.05 gamma=90.00
Space group C2/m (No. 12)
Inequivalent atoms, fractional coordinates:
Pm: 0.000 0.000 0.000
Pm: 0.000 0.295 0.000
Sm: 0.001 0.150 0.694
Sm: 0.001 0.500 0.791
Tm: 0.000 0.368 0.500

Entry 2:
Diffraction record for Hf3Ni. The powder XRD pattern is simulated, not measured: it uses a structure optimized by DFT (PBE) and Cu Kα (λ = 1.5418 Å).
No peak broadening, texture or thermal motion is included.

Largest 10 diffraction maxima, in order of rising 2θ, 10 to 90 degrees two-theta:
| two_theta | I (rel.) | hkl |
| --- | --- | --- |
| 34.64 | 93 | 1 3 1 |
| 34.89 | 60 | 3 1 -2 |
| 35.96 | 43 | 3 3 0 |
| 36.96 | 19 | 0 0 2 |
| 37.98 | 31 | 4 2 0 |
| 38.71 | 100 | 5 1 -1 |
| 40.82 | 32 | 4 2 -2 |
| 55.35 | 22 | 5 1 1 |
| 59.63 | 20 | 6 2 -3 |
| 61.93 | 18 | 5 5 0 |

Unit cell a=11.923 b=10.590 c=5.476 alpha=90.00 beta=117.27 gamma=90.00
Space group C2 (No. 5)
Inequivalent atoms, fractional coordinates:
Hf: 0.000 0.000 0.000
Hf: 0.000 0.284 0.000
Hf: 0.097 0.545 0.325
Hf: 0.097 0.739 0.872
Hf: 0.142 0.142 0.642
Hf: 0.201 0.844 0.463
Hf: 0.202 0.440 0.941
Ni: 0.000 0.350 0.500
Ni: 0.000 0.934 0.500
Ni: 0.208 0.142 0.207

Entry 3:
Diffraction record for K4SnS4O4. The powder XRD pattern is simulated, not measured: it uses a structure optimized by DFT (PBE) and Cu Kα (λ = 1.5418 Å).
No peak broadening, texture or thermal motion is included.

Largest 10 diffraction maxima, in order of rising 2θ, 10 to 90 degrees two-theta:
| two_theta | I (rel.) | hkl |
| --- | --- | --- |
| 12.81 | 57 | 0 1 -1 |
| 14.08 | 90 | 0 1 1 |
| 14.93 | 43 | 0 0 2 |
| 18.84 | 40 | 1 0 -2 |
| 20.28 | 65 | 1 -1 2 |
| 26.20 | 50 | 2 0 1 |
| 27.16 | 100 | -1 1 3 |
| 28.63 | 78 | 2 -1 2 |
| 28.77 | 63 | 1 2 -1 |
| 31.98 | 39 | 1 0 -4 |

Unit cell a=7.496 b=8.228 c=11.941 alpha=95.44 beta=91.44 gamma=105.44
Space group P-1 (No. 2)
Inequivalent atoms, fractional coordinates:
K: 0.078 0.218 0.118
K: 0.209 0.352 0.473
K: 0.360 0.388 0.843
K: 0.403 0.890 0.659
Sn: 0.170 0.701 0.283
S: 0.065 0.966 0.315
S: 0.084 0.541 0.695
S: 0.252 0.688 0.077
S: 0.443 0.717 0.396
O: 0.220 0.071 0.921
O: 0.242 0.123 0.303
O: 0.291 0.508 0.052
O: 0.374 0.043 0.884

Entry 4:
Diffraction record for PrY2Au2. The powder XRD pattern is simulated, not measured: it uses a structure optimized by DFT (PBE) and Cu Kα (λ = 1.5418 Å).
No peak broadening, texture or thermal motion is included.

Largest 10 diffraction maxima, in order of rising 2θ, 10 to 90 degrees two-theta:
| two_theta | I (rel.) | hkl |
| --- | --- | --- |
| 25.47 | 26 | 1 1 -1 |
| 28.78 | 56 | 1 1 -2 |
| 30.66 | 100 | 0 1 3 |
| 33.89 | 35 | 2 0 0 |
| 36.33 | 54 | 0 2 0 |
| 40.28 | 24 | 1 1 -4 |
| 43.07 | 29 | 1 1 4 |
| 43.58 | 38 | 1 0 -5 |
| 44.40 | 37 | 2 1 -3 |
| 50.53 | 24 | 2 2 0 |

Unit cell a=5.315 b=4.946 c=10.876 alpha=90.00 beta=95.60 gamma=90.00
Space group P2_1/m (No. 11)
Inequivalent atoms, fractional coordinates:
Pr: 0.202 0.250 0.238
Y: 0.249 0.750 0.493
Y: 0.326 0.250 0.888
Au: 0.160 0.750 0.011
Au: 0.277 0.250 0.627

Entry 5:
Diffraction record for Al2CoNi9. The powder XRD pattern is simulated, not measured: it uses a structure optimized by DFT (PBE) and Cu Kα (λ = 1.5418 Å).
No peak broadening, texture or thermal motion is included.

Largest 10 diffraction maxima, in order of rising 2θ, 10 to 90 degrees two-theta:
| two_theta | I (rel.) | hkl |
| --- | --- | --- |
| 15.56 | 7 | 0 0 1 |
| 21.45 | 4 | 1 0 0 |
| 25.55 | 2 | 1 0 -1 |
| 44.07 | 100 | 1 2 -1 |
| 44.27 | 98 | 2 1 1 |
| 50.94 | 63 | 1 3 2 |
| 52.50 | 29 | 2 0 -2 |
| 74.63 | 9 | 0 4 0 |
| 75.20 | 9 | 2 2 4 |
| 76.18 | 35 | 3 3 0 |

Unit cell a=4.305 b=5.681 c=6.141 alpha=68.47 beta=88.66 gamma=74.90
Space group P-1 (No. 2)
Inequivalent atoms, fractional coordinates:
Al: 0.091 0.233 0.086
Co: 0.000 0.000 0.500
Ni: 0.161 0.503 0.668
Ni: 0.259 0.740 0.256
Ni: 0.330 0.005 0.828
Ni: 0.421 0.246 0.419
Ni: 0.500 0.500 0.000

Entry 6:
Diffraction record for Hf2AlAs2. The powder XRD pattern is simulated, not measured: it uses a structure optimized by DFT (PBE) and Cu Kα (λ = 1.5418 Å).
No peak broadening, texture or thermal motion is included.

Largest 10 diffraction maxima, in order of rising 2θ, 10 to 90 degrees two-theta:
| two_theta | I (rel.) | hkl |
| --- | --- | --- |
| 17.07 | 26 | 1 1 0 |
| 27.15 | 18 | 2 1 0 |
| 37.55 | 100 | 2 1 1 |
| 38.77 | 29 | 3 1 0 |
| 49.65 | 11 | 4 0 0 |
| 52.28 | 9 | 0 0 2 |
| 52.89 | 11 | 3 3 0 |
| 58.11 | 10 | 4 1 1 |
| 66.95 | 12 | 3 1 2 |
| 74.70 | 21 | 5 2 1 |

Unit cell a=7.344 b=7.344 c=3.500 alpha=90.00 beta=90.00 gamma=90.00
Space group P4/mbm (No. 127)
Inequivalent atoms, fractional coordinates:
Hf: 0.151 0.349 0.000
Al: 0.000 0.000 0.500
As: 0.145 0.645 0.500

Entry 7:
Diffraction record for TmSi3Ni9. The powder XRD pattern is simulated, not measured: it uses a structure optimized by DFT (PBE) and Cu Kα (λ = 1.5418 Å).
No peak broadening, texture or thermal motion is included.

Largest 10 diffraction maxima, in order of rising 2θ, 10 to 90 degrees two-theta:
| two_theta | I (rel.) | hkl |
| --- | --- | --- |
| 30.73 | 35 | 1 3 0 |
| 37.70 | 70 | 2 0 -1 |
| 37.96 | 51 | 1 3 1 |
| 38.71 | 66 | 1 3 -2 |
| 43.61 | 50 | 2 2 0 |
| 44.24 | 78 | 1 5 0 |
| 44.34 | 64 | 1 1 2 |
| 44.48 | 100 | 2 2 -2 |
| 44.80 | 99 | 0 4 2 |
| 45.44 | 44 | 1 1 -3 |

Unit cell a=4.775 b=11.532 c=6.094 alpha=90.00 beta=111.29 gamma=90.00
Space group C2/m (No. 12)
Inequivalent atoms, fractional coordinates:
Tm: 0.000 0.000 0.000
Si: 0.000 0.500 0.500
Si: 0.250 0.250 0.000
Ni: 0.000 0.000 0.500
Ni: 0.101 0.387 0.222
Ni: 0.159 0.177 0.342

Entry 8:
Diffraction record for Ac7TbSm12. The powder XRD pattern is simulated, not measured: it uses a structure optimized by DFT (PBE) and Cu Kα (λ = 1.5418 Å).
No peak broadening, texture or thermal motion is included.

Largest 10 diffraction maxima, in order of rising 2θ, 10 to 90 degrees two-theta:
| two_theta | I (rel.) | hkl |
| --- | --- | --- |
| 10.35 | 28 | 1 1 0 |
| 20.80 | 70 | 2 2 0 |
| 27.63 | 28 | 3 1 2 |
| 29.57 | 94 | 4 0 0 |
| 36.43 | 100 | 4 2 2 |
| 42.32 | 38 | 4 4 0 |
| 47.60 | 28 | 6 2 0 |
| 57.04 | 69 | 6 2 4 |
| 65.56 | 30 | 8 2 2 |
| 81.19 | 38 | 8 6 2 |

Unit cell a=12.082 b=12.082 c=12.082 alpha=90.00 beta=90.00 gamma=90.00
Space group Im-3 (No. 204)
Inequivalent atoms, fractional coordinates:
Ac: 0.000 0.000 0.500
Ac: 0.250 0.250 0.250
Tb: 0.000 0.000 0.000
Sm: 0.000 0.245 0.323

Entry 9:
Diffraction record for CeNd2Ge3Ir4. The powder XRD pattern is simulated, not measured: it uses a structure optimized by DFT (PBE) and Cu Kα (λ = 1.5418 Å).
No peak broadening, texture or thermal motion is included.

Largest 10 diffraction maxima, in order of rising 2θ, 10 to 90 degrees two-theta:
| two_theta | I (rel.) | hkl |
| --- | --- | --- |
| 26.38 | 17 | 1 0 2 |
| 32.06 | 25 | 1 0 3 |
| 33.86 | 100 | 1 1 2 |
| 38.76 | 13 | 1 0 4 |
| 42.43 | 54 | 2 0 0 |
| 44.41 | 30 | 1 1 4 |
| 46.15 | 20 | 1 0 5 |
| 61.56 | 18 | 2 2 0 |
| 64.47 | 15 | 2 1 5 |
| 72.15 | 23 | 3 1 2 |

Unit cell a=4.261 b=4.261 c=11.088 alpha=90.00 beta=90.00 gamma=90.00
Space group P-4m2 (No. 115)
Inequivalent atoms, fractional coordinates:
Ce: 0.000 0.000 0.000
Nd: 0.000 0.500 0.724
Ge: 0.000 0.500 0.377
Ge: 0.500 0.500 0.000
Ir: 0.000 0.000 0.500
Ir: 0.000 0.500 0.153
Ir: 0.500 0.500 0.500

Entry 10:
Diffraction record for Sr3AcAg4. The powder XRD pattern is simulated, not measured: it uses a structure optimized by DFT (PBE) and Cu Kα (λ = 1.5418 Å).
No peak broadening, texture or thermal motion is included.

Largest 10 diffraction maxima, in order of rising 2θ, 10 to 90 degrees two-theta:
| two_theta | I (rel.) | hkl |
| --- | --- | --- |
| 15.95 | 10 | 1 1 0 |
| 27.81 | 6 | 2 1 1 |
| 32.22 | 100 | 2 2 0 |
| 36.14 | 3 | 3 1 0 |
| 43.06 | 4 | 3 2 1 |
| 46.20 | 18 | 4 0 0 |
| 57.44 | 37 | 4 2 2 |
| 67.41 | 11 | 4 4 0 |
| 76.69 | 16 | 6 2 0 |
| 85.62 | 4 | 4 4 4 |

Unit cell a=7.859 b=7.859 c=7.859 alpha=90.00 beta=90.00 gamma=90.00
Space group Im-3m (No. 229)
Inequivalent atoms, fractional coordinates:
Sr: 0.000 0.000 0.500
Ac: 0.000 0.000 0.000
Ag: 0.250 0.250 0.250

Entry 11:
Diffraction record for Tb3NdTm7. The powder XRD pattern is simulated, not measured: it uses a structure optimized by DFT (PBE) and Cu Kα (λ = 1.5418 Å).
No peak broadening, texture or thermal motion is included.

Largest 10 diffraction maxima, in order of rising 2θ, 10 to 90 degrees two-theta:
| two_theta | I (rel.) | hkl |
| --- | --- | --- |
| 10.33 | 4 | 0 0 1 |
| 17.95 | 5 | 0 1 1 |
| 31.36 | 100 | 2 0 1 |
| 36.37 | 51 | 0 2 2 |
| 52.38 | 36 | 2 2 0 |
| 62.33 | 42 | 0 4 1 |
| 65.44 | 12 | 4 0 2 |
| 77.23 | 6 | 0 4 4 |
| 85.71 | 18 | 4 2 1 |
| 88.50 | 17 | 2 4 2 |

Unit cell a=6.9854 b=6.9854 c=8.5630 alpha=90.00 beta=90.00 gamma=120.00
Space group P3m1 (No. 156)
Inequivalent atoms, fractional coordinates:
Tb: 0.1672 0.3344 0.0000
Nd: 0.0000 0.0000 0.3373
Tm: 0.0022 0.5011 0.3391
Tm: 0.3321 0.1660 0.6665
Tm: 0.3333 0.6667 0.6658

Entry 12:
Diffraction record for Pr2Al5Zn12. The powder XRD pattern is simulated, not measured: it uses a structure optimized by DFT (PBE) and Cu Kα (λ = 1.5418 Å).
No peak broadening, texture or thermal motion is included.

Largest 10 diffraction maxima, in order of rising 2θ, 10 to 90 degrees two-theta:
| two_theta | I (rel.) | hkl |
| --- | --- | --- |
| 26.07 | 19 | 2 0 2 |
| 27.88 | 21 | 1 1 3 |
| 33.83 | 34 | 3 0 0 |
| 35.04 | 30 | 0 2 4 |
| 39.27 | 35 | 2 2 0 |
| 39.55 | 100 | 0 3 3 |
| 40.39 | 35 | 0 0 6 |
| 44.39 | 18 | 2 2 3 |
| 64.38 | 17 | 3 3 3 |
| 72.89 | 16 | 0 3 9 |

Unit cell a=9.1778 b=9.1778 c=13.3972 alpha=90.00 beta=90.00 gamma=120.00
Space group R-3m (No. 166, hexagonal axes)
Inequivalent atoms, fractional coordinates:
Pr: 0.0000 0.0000 0.1666
Al: 0.0000 0.0000 0.4016
Al: 0.0000 0.5000 0.0000
Zn: 0.0000 0.2972 0.5000
Zn: 0.0102 0.5051 0.6527